Simulated X-ray powder pattern
Compound: Na6MnNi3Sb2O12
Radiation: a wavelength of 1.5418 Å
Structure: a cell relaxed with PBE+U
Neutral-atom scattering factors, no anomalous dispersion.

Cell and atoms:
```
data_Na6MnNi3Sb2O12
_chemical_formula_sum 'Na6 Mn1 Ni3 Sb2 O12'
_cell_length_a 5.4181
_cell_length_b 9.3720
_cell_length_c 5.7148
_cell_angle_alpha 90.00
_cell_angle_beta 108.52
_cell_angle_gamma 90.00
_space_group_name_H-M_alt 'P 1 2 1'
_space_group_IT_number 3
_space_group_name_Hall 'P 2y'
loop_
_atom_site_label
_atom_site_type_symbol
_atom_site_fract_x
_atom_site_fract_y
_atom_site_fract_z
_atom_site_occupancy
Na1 Na 0.0000 0.0000 0.0000 1
Na2 Na 0.0000 0.3222 0.0000 1
Na3 Na 0.0000 0.6514 0.0000 1
Na4 Na 0.5000 0.1508 0.0000 1
Na5 Na 0.5000 0.4958 0.0000 1
Na6 Na 0.5000 0.8279 0.0000 1
Mn1 Mn 0.5000 0.6586 0.5000 1
Ni1 Ni 0.0000 0.1587 0.5000 1
Ni2 Ni 0.0000 0.4898 0.5000 1
Ni3 Ni 0.5000 0.9926 0.5000 1
Sb1 Sb 0.0000 0.8278 0.5000 1
Sb2 Sb 0.5000 0.3220 0.5000 1
O1 O 0.2180 0.6678 0.7089 1
O2 O 0.2286 0.9855 0.7034 1
O3 O 0.2438 0.8305 0.2935 1
O4 O 0.2509 0.3242 0.7025 1
O5 O 0.2696 0.4778 0.2923 1
O6 O 0.2731 0.1645 0.2963 1
```

The 10 most intense peaks (2θ from 15° to 90°), sorted by position:
| two_theta | d (Å) | Rel. int. | h k l |
| --- | --- | --- | --- |
| 16.36 | 5.419 | 80 | 0 0 1 |
| 33.06 | 2.709 | 19 | 0 0 2 |
| 33.56 | 2.671 | 28 | 1 3 0 |
| 34.93 | 2.569 | 44 | 2 0 0 |
| 40.02 | 2.253 | 100 | 2 0 -2 |
| 51.87 | 1.763 | 14 | 1 3 2 |
| 56.64 | 1.625 | 30 | 2 0 2 |
| 59.10 | 1.563 | 28 | 3 3 -1 |
| 69.39 | 1.354 | 14 | 0 0 4 |
| 73.78 | 1.284 | 13 | 4 0 0 |